Entry 1:
The following is a simulated X-ray powder pattern of FeO2. It was derived from a structure optimized by DFT (GGA+U), using Cu Ka.
No peak broadening, texture or thermal motion is included.

Top 10 peaks for 2θ from 15° to 90°, sorted by position:
Position (°2θ), I_rel
18.26, 62
18.53, 100
21.20, 46
30.32, 22
35.34, 69
35.48, 48
43.17, 86
57.37, 23
62.32, 39
63.08, 35

Crystal structure
a = 5.9599 Å, b = 5.9599 Å, c = 14.3632 Å
α = 90.00°, β = 90.00°, γ = 120.00°
Fractional positions:
Fe1 0.0000 0.0000 0.0000
Fe2 0.0000 0.0000 0.3840
Fe3 0.1718 0.3435 0.2171
Fe4 0.1718 0.8282 0.2171
Fe5 0.3333 0.6667 0.6730
Fe6 0.3352 0.1676 0.5523
Fe7 0.5047 0.0094 0.8852
Fe8 0.5047 0.4953 0.8852
Fe9 0.6565 0.8282 0.2171
Fe10 0.8324 0.1676 0.5523
Fe11 0.8324 0.6648 0.5523
Fe12 0.9906 0.4953 0.8852
O1 0.0000 0.0000 0.1360
O2 0.0000 0.0000 0.6205
O3 0.0257 0.5129 0.1553
O4 0.1433 0.2865 0.4646
O5 0.1433 0.8567 0.4646
O6 0.1747 0.3495 0.9550
O7 0.1747 0.8253 0.9550
O8 0.2835 0.1417 0.2943
O9 0.3333 0.6667 0.2944
O10 0.3333 0.6667 0.8075
O11 0.3683 0.1841 0.8176
O12 0.4871 0.5129 0.1553
O13 0.4871 0.9743 0.1553
O14 0.5004 0.0007 0.6210
O15 0.5004 0.4996 0.6210
O16 0.6505 0.8253 0.9550
O17 0.6667 0.3333 0.4847
O18 0.6667 0.3333 0.9625
O19 0.7135 0.8567 0.4646
O20 0.8159 0.1841 0.8176
O21 0.8159 0.6317 0.8176
O22 0.8583 0.1417 0.2943
O23 0.8583 0.7165 0.2943
O24 0.9993 0.4996 0.6210

***

Entry 2:
The following is a simulated X-ray powder pattern of LiFeSbO4. It was derived from a structure optimized by DFT (GGA+U), using Cu Ka.
No peak broadening, texture or thermal motion is included.

Top 10 peaks for 2θ from 15° to 90°, sorted by position:
Position (°2θ), I_rel
17.32, 22
17.59, 100
33.35, 15
33.81, 36
35.04, 15
35.61, 14
40.17, 19
41.44, 36
54.92, 11
59.08, 23

Crystal structure
a = 6.2578 Å, b = 6.2578 Å, c = 6.2578 Å
α = 121.73°, β = 120.25°, γ = 88.30°
Fractional positions:
Li1 0.3972 0.1472 0.2500
Li2 0.6028 0.8528 0.7500
Fe1 0.0000 0.0000 0.5000
Fe2 0.0000 0.5000 0.0000
Sb1 0.0000 0.5000 0.5000
Sb2 0.5000 0.5000 0.0000
O1 0.2050 0.7198 0.4852
O2 0.2492 0.2745 0.5253
O3 0.2492 0.7239 0.9747
O4 0.2655 0.2802 0.9852
O5 0.7345 0.7198 0.0148
O6 0.7508 0.2761 0.0253
O7 0.7508 0.7255 0.4747
O8 0.7950 0.2802 0.5148

***

Entry 3:
The following is a simulated X-ray powder pattern of NiSn3P4O16. It was derived from a structure optimized by DFT (GGA+U), using Cu Ka.
No peak broadening, texture or thermal motion is included.

Top 10 peaks for 2θ from 15° to 90°, sorted by position:
Position (°2θ), I_rel
17.16, 65
19.47, 40
24.26, 100
28.86, 50
34.57, 32
34.71, 35
35.06, 16
48.45, 18
54.95, 17
57.12, 16

Crystal structure
a = 5.0789 Å, b = 6.1871 Å, c = 10.3361 Å
α = 90.00°, β = 90.28°, γ = 90.00°
Fractional positions:
Ni1 0.0000 0.0000 0.0000
Sn1 0.4012 0.0000 0.5118
Sn2 0.4889 0.5000 0.9456
Sn3 0.9008 0.5000 0.4461
P1 0.0523 0.5000 0.1146
P2 0.3777 0.5000 0.6458
P3 0.5232 0.0000 0.8275
P4 0.8202 0.0000 0.3222
O1 0.1067 0.0000 0.3756
O2 0.1265 0.5000 0.2555
O3 0.1872 0.3049 0.0401
O4 0.1872 0.6951 0.0401
O5 0.2270 0.0000 0.8412
O6 0.2526 0.3010 0.5702
O7 0.2526 0.6990 0.5702
O8 0.2603 0.5000 0.7845
O9 0.6096 0.0000 0.6825
O10 0.6548 0.1895 0.3889
O11 0.6548 0.8105 0.3889
O12 0.6657 0.1970 0.8977
O13 0.6657 0.8030 0.8977
O14 0.6736 0.5000 0.6477
O15 0.7480 0.5000 0.0964
O16 0.8160 0.0000 0.1772

***

Entry 4:
The following is a simulated X-ray powder pattern of KMgNiIO6. It was derived from a structure optimized by DFT (GGA+U), using Cu Ka.
No peak broadening, texture or thermal motion is included.

Top 10 peaks for 2θ from 15° to 90°, sorted by position:
Position (°2θ), I_rel
19.55, 24
23.91, 100
27.45, 32
34.20, 52
36.97, 54
44.40, 93
54.99, 29
61.23, 23
63.05, 18
67.87, 24

Crystal structure
a = 5.2439 Å, b = 5.2439 Å, c = 6.4982 Å
α = 90.00°, β = 90.00°, γ = 120.00°
Fractional positions:
K1 0.0000 0.0000 0.0000
Mg1 0.0000 0.0000 0.5000
Ni1 0.3333 0.6667 0.5000
I1 0.6667 0.3333 0.5000
O1 0.3601 0.0275 0.6612
O2 0.3601 0.3326 0.3388
O3 0.6674 0.0275 0.3388
O4 0.6674 0.6399 0.6612
O5 0.9725 0.3326 0.6612
O6 0.9725 0.6399 0.3388